(1)
Structure and theoretical powder X-ray diffraction pattern of BaMgNiF7 (the PBE+U geometry in the Materials Project; a wavelength of 1.5418 Å).
No peak broadening, texture or thermal motion is included.

Main lines, by angle (10 to 90 degrees two-theta):
2theta, intensity
25.4, 100.0
26.0, 17.4
26.7, 53.5
29.3, 20.0
31.9, 20.0
40.7, 30.7
41.1, 46.3
41.8, 23.7
52.7, 18.6
54.6, 17.3

Crystal structure
a b c (Å): 5.6179 9.9185 9.6164
angles (deg): 90.00 93.16 90.00
Positions (direct):
Ba 0.2363 0.1810 0.4992
Ba 0.2363 0.3190 0.9992
Ba 0.7637 0.6810 0.0008
Ba 0.7637 0.8190 0.5008
Mg 0.1983 0.6033 0.3111
Mg 0.1983 0.8967 0.8111
Mg 0.8017 0.1033 0.1889
Mg 0.8017 0.3967 0.6889
Ni 0.3056 0.6131 0.6886
Ni 0.3056 0.8869 0.1886
Ni 0.6944 0.1131 0.8114
Ni 0.6944 0.3869 0.3114
F 0.0308 0.7114 0.7501
F 0.0308 0.7886 0.2501
F 0.1211 0.5429 0.1238
F 0.1211 0.9571 0.6238
F 0.1284 0.0471 0.1332
F 0.1284 0.4529 0.6332
F 0.2440 0.6870 0.5049
F 0.2440 0.8130 0.0049
F 0.3829 0.5445 0.8640
F 0.3829 0.9555 0.3640
F 0.3912 0.0532 0.8733
F 0.3912 0.4468 0.3733
F 0.4757 0.7206 0.2488
F 0.4757 0.7794 0.7488
F 0.5243 0.2206 0.2512
F 0.5243 0.2794 0.7512
F 0.6088 0.5532 0.6267
F 0.6088 0.9468 0.1267
F 0.6171 0.0445 0.6360
F 0.6171 0.4555 0.1360
F 0.7560 0.1870 0.9951
F 0.7560 0.3130 0.4951
F 0.8716 0.5471 0.3668
F 0.8716 0.9529 0.8668
F 0.8789 0.0429 0.3762
F 0.8789 0.4571 0.8762
F 0.9692 0.2114 0.7499
F 0.9692 0.2886 0.2499


(2)
Structure and theoretical powder X-ray diffraction pattern of BaMgWF7 (the PBE+U geometry in the Materials Project; a wavelength of 1.5418 Å).
No peak broadening, texture or thermal motion is included.

Main lines, by angle (10 to 90 degrees two-theta):
2theta, intensity
19.5, 51.0
20.2, 27.1
24.8, 100.0
25.8, 53.3
28.3, 34.3
31.3, 21.7
37.9, 18.5
39.8, 30.6
51.6, 21.7
52.6, 23.8

Crystal structure
a b c (Å): 5.7225 10.2285 9.9376
angles (deg): 90.00 92.57 90.00
Positions (direct):
Ba 0.2326 0.1724 0.0031
Ba 0.2326 0.3276 0.5031
Ba 0.7674 0.6724 0.4969
Ba 0.7674 0.8276 0.9969
Mg 0.1871 0.6072 0.8100
Mg 0.1871 0.8928 0.3100
Mg 0.8129 0.1072 0.6900
Mg 0.8129 0.3928 0.1900
W 0.3064 0.6118 0.1852
W 0.3064 0.8882 0.6852
W 0.6936 0.1118 0.3148
W 0.6936 0.3882 0.8148
F 0.0112 0.7183 0.2502
F 0.0112 0.7817 0.7502
F 0.1047 0.5414 0.6312
F 0.1047 0.9586 0.1312
F 0.1258 0.0595 0.6244
F 0.1258 0.4405 0.1244
F 0.2362 0.6970 0.9916
F 0.2362 0.8030 0.4916
F 0.3663 0.0459 0.3766
F 0.3663 0.4541 0.8766
F 0.3966 0.5417 0.3774
F 0.3966 0.9583 0.8774
F 0.4737 0.7120 0.7506
F 0.4737 0.7880 0.2506
F 0.5263 0.2120 0.7494
F 0.5263 0.2880 0.2494
F 0.6034 0.0417 0.1226
F 0.6034 0.4583 0.6226
F 0.6337 0.5459 0.1234
F 0.6337 0.9541 0.6234
F 0.7638 0.1970 0.5084
F 0.7638 0.3030 0.0084
F 0.8742 0.5595 0.8756
F 0.8742 0.9405 0.3756
F 0.8953 0.0414 0.8688
F 0.8953 0.4586 0.3688
F 0.9888 0.2183 0.2498
F 0.9888 0.2817 0.7498


(3)
Structure and theoretical powder X-ray diffraction pattern of Ba2Mn2F11 (the PBE+U geometry in the Materials Project; a wavelength of 1.5418 Å).
No peak broadening, texture or thermal motion is included.

Main lines, by angle (10 to 90 degrees two-theta):
2theta, intensity
18.3, 25.1
23.1, 47.9
23.9, 100.0
26.3, 29.8
27.4, 22.4
28.6, 35.4
29.5, 22.3
37.8, 32.9
40.5, 39.9
42.5, 23.3

Crystal structure
a b c (Å): 7.7361 7.7361 14.0875
angles (deg): 90.00 90.00 120.00
Positions (direct):
Ba 0.1494 0.4135 0.0000
Ba 0.2640 0.8506 0.3333
Ba 0.5385 0.1640 0.8474
Ba 0.5865 0.7360 0.6667
Ba 0.6255 0.4615 0.1807
Ba 0.8360 0.3745 0.5140
Mn 0.0391 0.5793 0.7581
Mn 0.1957 0.0457 0.5733
Mn 0.4207 0.4598 0.4247
Mn 0.5402 0.9609 0.0914
Mn 0.8501 0.8043 0.9066
Mn 0.9543 0.1499 0.2399
F 0.0366 0.7807 0.5972
F 0.1007 0.0090 0.9323
F 0.1255 0.0243 0.4478
F 0.1350 0.5159 0.6517
F 0.2193 0.2559 0.2639
F 0.2566 0.5594 0.4634
F 0.2889 0.1004 0.6959
F 0.3028 0.7434 0.7968
F 0.3596 0.0241 0.1691
F 0.3686 0.3225 0.5490
F 0.3809 0.8650 0.9850
F 0.4035 0.0036 0.5322
F 0.4226 0.3485 0.0274
F 0.4406 0.6972 0.1301
F 0.4841 0.6191 0.3183
F 0.5219 0.3008 0.3759
F 0.6000 0.5965 0.8655
F 0.6515 0.0741 0.6940
F 0.6645 0.6404 0.5024
F 0.6775 0.0461 0.2156
F 0.6992 0.2212 0.0425
F 0.7441 0.9634 0.9306
F 0.7788 0.4781 0.7092
F 0.8114 0.7111 0.0292
F 0.8988 0.8745 0.7811
F 0.8996 0.1886 0.3625
F 0.9083 0.8993 0.2657
F 0.9259 0.5774 0.3607
F 0.9539 0.6314 0.8823
F 0.9757 0.1012 0.1145
F 0.9759 0.3355 0.8358
F 0.9910 0.0917 0.5990
F 0.9964 0.4000 0.1988


(4)
Structure and theoretical powder X-ray diffraction pattern of BaMnF4 (the PBE+U geometry in the Materials Project; a wavelength of 1.5418 Å).
No peak broadening, texture or thermal motion is included.

Main lines, by angle (10 to 90 degrees two-theta):
2theta, intensity
18.5, 30.2
23.0, 30.2
26.1, 100.0
27.1, 31.9
27.3, 58.4
29.3, 27.6
38.9, 36.6
40.3, 52.8
42.2, 28.8
49.5, 21.8

Crystal structure
a b c (Å): 8.0169 8.0169 6.0981
angles (deg): 90.00 90.00 149.03
Positions (direct):
Ba 0.1577 0.8423 0.5000
Ba 0.8423 0.1577 0.0000
Mn 0.4164 0.5836 0.4492
Mn 0.5836 0.4164 0.9492
F 0.0813 0.9187 0.9225
F 0.2990 0.7010 0.2548
F 0.3355 0.6645 0.7275
F 0.4624 0.5376 0.1053
F 0.5376 0.4624 0.6053
F 0.6645 0.3355 0.2275
F 0.7010 0.2990 0.7548
F 0.9187 0.0813 0.4225


(5)
Structure and theoretical powder X-ray diffraction pattern of Ba2NaMn3F11 (the PBE+U geometry in the Materials Project; a wavelength of 1.5418 Å).
No peak broadening, texture or thermal motion is included.

Main lines, by angle (10 to 90 degrees two-theta):
2theta, intensity
15.2, 39.5
24.6, 100.0
25.0, 44.5
28.8, 44.4
29.2, 76.1
29.4, 70.1
43.8, 59.1
44.1, 44.5
46.5, 36.3
50.4, 36.7

Crystal structure
a b c (Å): 12.6368 12.6368 12.6368
angles (deg): 32.71 32.71 32.71
Positions (direct):
Ba 0.0000 0.0000 0.0000
Ba 0.1215 0.1215 0.1215
Ba 0.5000 0.5000 0.5000
Ba 0.6215 0.6215 0.6215
Na 0.3103 0.3103 0.3103
Na 0.8103 0.8103 0.8103
Mn 0.0034 0.5657 0.1124
Mn 0.0657 0.5034 0.6124
Mn 0.1124 0.0034 0.5657
Mn 0.5034 0.6124 0.0657
Mn 0.5657 0.1124 0.0034
Mn 0.6124 0.0657 0.5034
F 0.0892 0.8007 0.2924
F 0.1351 0.4963 0.7205
F 0.1383 0.9022 0.4725
F 0.2205 0.9963 0.6351
F 0.2360 0.2360 0.2360
F 0.2924 0.0892 0.8007
F 0.3007 0.5892 0.7924
F 0.3797 0.3797 0.3797
F 0.4022 0.6383 0.9725
F 0.4725 0.1383 0.9022
F 0.4963 0.7205 0.1351
F 0.5892 0.7924 0.3007
F 0.6351 0.2204 0.9963
F 0.6383 0.9725 0.4022
F 0.7205 0.1351 0.4963
F 0.7360 0.7360 0.7360
F 0.7924 0.3007 0.5892
F 0.8007 0.2924 0.0892
F 0.8797 0.8797 0.8797
F 0.9022 0.4725 0.1383
F 0.9725 0.4022 0.6383
F 0.9963 0.6351 0.2205